This entry pairs a crystal structure of Er5Ir2 with its computed powder diffractogram. Radiation: Cu Kα. Structure: a cell relaxed with PBE.
No peak broadening, texture or thermal motion is included.

Most intense lines, 2θ = 10–80°, by intensity:
- 32.07 deg, I = 100
- 31.97 deg, I = 72
- 33.18 deg, I = 63
- 19.91 deg, I = 55
- 30.45 deg, I = 49
- 35.86 deg, I = 48
- 36.27 deg, I = 48
- 40.29 deg, I = 47
- 36.38 deg, I = 40
- 35.26 deg, I = 40
- 46.96 deg, I = 35
- 40.59 deg, I = 31

Structural model:
Unit cell a=8.438 b=8.438 c=7.164 alpha=96.58 beta=96.58 gamma=44.92
Element x y z (fractional)
Er: 0.071 0.929 0.750
Er: 0.151 0.289 0.316
Er: 0.289 0.151 0.816
Er: 0.290 0.526 0.081
Er: 0.474 0.710 0.419
Er: 0.526 0.290 0.581
Er: 0.710 0.474 0.919
Er: 0.711 0.849 0.184
Er: 0.849 0.711 0.684
Er: 0.929 0.071 0.250
Ir: 0.106 0.674 0.426
Ir: 0.326 0.894 0.074
Ir: 0.674 0.106 0.926
Ir: 0.894 0.326 0.574